The following is a calculated powder X-ray diffraction pattern of TeSeCl. It was derived from a structure optimized by DFT (PBE), using λ = 1.5418 Å (Cu Kα).
Lines closer than 0.1° are merged.

Top 6 peaks for 2θ = 10–90°, sorted by position:
2θ (°)  d_spacing  I_rel
12.6  6.998  63.8
19.3  4.607  100.0
23.1  3.848  32.3
31.6  2.828  93.4
41.0  2.200  33.4
42.3  2.136  41.0

Atomic structure:
Cell lengths 3.855, 9.214, 13.997 Å; angles 90.00, 90.00, 90.00 degrees
Space group Fmm2 (No. 42)
Inequivalent atoms, fractional coordinates:
Te (0.000, 0.000, 0.000) x4
Se (0.000, 0.000, 0.627) x4
Cl (0.000, 0.000, 0.358) x4